Entry 1:
Rb2ReNiI6: computed powder XRD pattern (λ = 1.5418 Å (Cu Kα)), based on a DFT-relaxed cell (GGA-PBE, Alexandria).

Crystal structure
abc: 7.992 7.992 7.992
angles: 120.03 120.03 89.95
Sites, in units of the cell vectors:
Rb 0.250 0.750 0.500
Rb 0.750 0.250 0.500
Re 0.000 0.000 0.000
Ni 0.500 0.500 0.000
I 0.250 0.250 0.000
I 0.251 0.251 0.502
I 0.251 0.749 0.000
I 0.749 0.251 0.000
I 0.749 0.749 0.498
I 0.750 0.750 0.000

Principal peaks in the range 2θ from 5° to 70°, sorted by position:
- 13.57 deg, d 6.524, rel. 9
- 15.68 deg, d 5.650, rel. 42
- 22.25 deg, d 3.995, rel. 10
- 27.34 deg, d 3.262, rel. 65
- 31.67 deg, d 2.825, rel. 100
- 35.53 deg, d 2.527, rel. 23
- 45.40 deg, d 1.998, rel. 73
- 48.32 deg, d 1.883, rel. 12
- 53.81 deg, d 1.704, rel. 29
- 56.41 deg, d 1.631, rel. 25
- 66.15 deg, d 1.413, rel. 12
- 68.46 deg, d 1.370, rel. 7

Entry 2:
Sm8NiRh3I4: computed powder XRD pattern (λ = 1.5418 Å (Cu Kα)), based on a DFT-relaxed cell (GGA-PBE, Alexandria).

Crystal structure
abc: 9.359 9.359 9.359
angles: 52.35 52.35 52.35
Sites, in units of the cell vectors:
Sm 0.229 0.229 0.229
Sm 0.231 0.726 0.726
Sm 0.274 0.274 0.769
Sm 0.274 0.769 0.274
Sm 0.726 0.231 0.726
Sm 0.726 0.726 0.231
Sm 0.769 0.274 0.274
Sm 0.771 0.771 0.771
Ni 0.500 0.500 0.500
Rh 0.000 0.000 0.500
Rh 0.000 0.500 0.000
Rh 0.500 0.000 0.000
I 0.000 0.000 0.000
I 0.000 0.500 0.500
I 0.500 0.000 0.500
I 0.500 0.500 0.000

Principal peaks in the range 2θ from 5° to 70°, sorted by position:
- 10.99 deg, d 8.054, rel. 12
- 29.02 deg, d 3.077, rel. 100
- 31.12 deg, d 2.874, rel. 18
- 33.38 deg, d 2.685, rel. 10
- 36.17 deg, d 2.483, rel. 12
- 39.04 deg, d 2.307, rel. 25
- 43.86 deg, d 2.064, rel. 39
- 48.65 deg, d 1.872, rel. 8
- 53.45 deg, d 1.714, rel. 18
- 55.74 deg, d 1.649, rel. 7
- 56.21 deg, d 1.636, rel. 14
- 60.15 deg, d 1.538, rel. 7

Entry 3:
NiS5I: computed powder XRD pattern (λ = 1.5418 Å (Cu Kα)), based on a DFT-relaxed cell (GGA-PBE, Alexandria).

Crystal structure
abc: 5.602 5.760 6.918
angles: 88.01 74.39 84.69
Sites, in units of the cell vectors:
Ni 0.000 0.000 0.000
S 0.261 0.221 0.372
S 0.350 0.814 0.894
S 0.653 0.173 0.645
S 0.924 0.218 0.758
S 0.981 0.199 0.263
I 0.628 0.766 0.107

Principal peaks in the range 2θ from 5° to 70°, sorted by position:
- 13.29 deg, d 6.662, rel. 100
- 15.45 deg, d 5.735, rel. 57
- 20.33 deg, d 4.369, rel. 75
- 20.54 deg, d 4.325, rel. 42
- 21.66 deg, d 4.103, rel. 27
- 23.64 deg, d 3.763, rel. 41
- 24.99 deg, d 3.563, rel. 25
- 27.48 deg, d 3.246, rel. 24
- 27.84 deg, d 3.204, rel. 38
- 29.29 deg, d 3.049, rel. 34
- 30.91 deg, d 2.893, rel. 19
- 31.19 deg, d 2.868, rel. 29

Entry 4:
Sc3NiI3: computed powder XRD pattern (λ = 1.5418 Å (Cu Kα)), based on a DFT-relaxed cell (GGA-PBE, Alexandria).

Crystal structure
abc: 9.994 9.994 9.994
angles: 109.47 109.47 109.47
Sites, in units of the cell vectors:
Sc 0.028 0.056 0.278
Sc 0.028 0.472 0.750
Sc 0.056 0.278 0.028
Sc 0.222 0.278 0.750
Sc 0.222 0.444 0.472
Sc 0.278 0.028 0.056
Sc 0.278 0.750 0.222
Sc 0.444 0.472 0.222
Sc 0.472 0.222 0.444
Sc 0.472 0.750 0.028
Sc 0.750 0.028 0.472
Sc 0.750 0.222 0.278
Ni 0.000 0.250 0.500
Ni 0.250 0.250 0.250
Ni 0.250 0.500 0.000
Ni 0.500 0.000 0.250
I 0.250 0.754 0.746
I 0.250 0.996 0.504
I 0.504 0.250 0.996
I 0.504 0.754 0.509
I 0.509 0.504 0.754
I 0.746 0.250 0.754
I 0.746 0.996 0.991
I 0.754 0.509 0.504
I 0.754 0.746 0.250
I 0.991 0.746 0.996
I 0.996 0.504 0.250
I 0.996 0.991 0.746

Principal peaks in the range 2θ from 5° to 70°, sorted by position:
- 18.84 deg, d 4.711, rel. 3
- 26.76 deg, d 3.331, rel. 65
- 28.95 deg, d 3.084, rel. 17
- 31.00 deg, d 2.885, rel. 100
- 36.52 deg, d 2.460, rel. 9
- 44.40 deg, d 2.040, rel. 67
- 52.60 deg, d 1.740, rel. 37
- 53.88 deg, d 1.702, rel. 1
- 55.14 deg, d 1.666, rel. 21
- 58.80 deg, d 1.570, rel. 7
- 63.47 deg, d 1.466, rel. 5
- 64.61 deg, d 1.443, rel. 9

Entry 5:
VNi2SeI: computed powder XRD pattern (λ = 1.5418 Å (Cu Kα)), based on a DFT-relaxed cell (GGA-PBE, Alexandria).

Crystal structure
abc: 4.765 4.765 4.521
angles: 90.00 90.00 90.00
Sites, in units of the cell vectors:
V 0.000 0.000 0.000
Ni 0.000 0.500 0.000
Ni 0.500 0.000 0.000
Se 0.000 0.000 0.500
I 0.500 0.500 0.500

Principal peaks in the range 2θ from 5° to 70°, sorted by position:
- 26.45 deg, d 3.369, rel. 17
- 27.19 deg, d 3.279, rel. 19
- 33.16 deg, d 2.701, rel. 100
- 37.76 deg, d 2.382, rel. 64
- 39.88 deg, d 2.260, rel. 27
- 47.15 deg, d 1.927, rel. 8
- 48.50 deg, d 1.877, rel. 6
- 54.47 deg, d 1.685, rel. 21
- 56.09 deg, d 1.640, rel. 38
- 65.27 deg, d 1.429, rel. 27
- 68.17 deg, d 1.376, rel. 12
- 69.60 deg, d 1.351, rel. 20

Entry 6:
Si3NiI: computed powder XRD pattern (λ = 1.5418 Å (Cu Kα)), based on a DFT-relaxed cell (GGA-PBE, Alexandria).

Crystal structure
abc: 3.905 4.811 12.222
angles: 90.00 91.08 90.00
Sites, in units of the cell vectors:
Si 0.001 0.000 0.060
Si 0.229 0.339 0.193
Si 0.280 0.097 0.846
Si 0.720 0.597 0.154
Si 0.771 0.839 0.807
Si 0.999 0.500 0.940
Ni 0.473 0.776 0.986
Ni 0.527 0.276 0.014
I 0.271 0.085 0.371
I 0.729 0.585 0.629

Principal peaks in the range 2θ from 5° to 70°, sorted by position:
- 7.23 deg, d 12.220, rel. 61
- 19.83 deg, d 4.477, rel. 57
- 21.82 deg, d 4.073, rel. 45
- 23.54 deg, d 3.780, rel. 100
- 24.06 deg, d 3.699, rel. 38
- 26.87 deg, d 3.318, rel. 63
- 28.72 deg, d 3.109, rel. 38
- 29.46 deg, d 3.032, rel. 72
- 36.76 deg, d 2.445, rel. 28
- 41.66 deg, d 2.168, rel. 33
- 46.94 deg, d 1.936, rel. 56
- 48.15 deg, d 1.890, rel. 39

Entry 7:
Sm2Ni2I: computed powder XRD pattern (λ = 1.5418 Å (Cu Kα)), based on a DFT-relaxed cell (GGA-PBE, Alexandria).

Crystal structure
abc: 9.557 9.557 9.557
angles: 134.66 52.23 155.44
Sites, in units of the cell vectors:
Sm 0.345 0.000 0.845
Sm 0.345 0.500 0.345
Sm 0.655 0.000 0.155
Sm 0.655 0.500 0.655
Ni 0.214 0.749 0.465
Ni 0.216 0.251 0.965
Ni 0.784 0.749 0.035
Ni 0.786 0.251 0.535
I 0.271 0.021 0.250
I 0.729 0.979 0.750

Principal peaks in the range 2θ from 5° to 70°, sorted by position:
- 10.31 deg, d 8.581, rel. 36
- 22.48 deg, d 3.956, rel. 28
- 26.91 deg, d 3.314, rel. 28
- 27.12 deg, d 3.288, rel. 23
- 31.27 deg, d 2.860, rel. 33
- 32.02 deg, d 2.795, rel. 85
- 33.23 deg, d 2.696, rel. 27
- 36.47 deg, d 2.464, rel. 100
- 43.08 deg, d 2.100, rel. 37
- 45.88 deg, d 1.978, rel. 21
- 49.49 deg, d 1.842, rel. 21
- 61.35 deg, d 1.511, rel. 26

Entry 8:
SmThNiI: computed powder XRD pattern (λ = 1.5418 Å (Cu Kα)), based on a DFT-relaxed cell (GGA-PBE, Alexandria).

Crystal structure
abc: 4.052 4.053 8.289
angles: 76.33 76.36 64.17
Sites, in units of the cell vectors:
Sm 0.000 0.000 0.000
Th 0.780 0.781 0.641
Ni 0.394 0.394 0.809
I 0.230 0.233 0.318

Principal peaks in the range 2θ from 5° to 70°, sorted by position:
- 11.11 deg, d 7.961, rel. 29
- 24.70 deg, d 3.605, rel. 18
- 25.53 deg, d 3.490, rel. 24
- 28.70 deg, d 3.111, rel. 58
- 29.99 deg, d 2.980, rel. 23
- 30.82 deg, d 2.901, rel. 100
- 32.14 deg, d 2.785, rel. 42
- 33.78 deg, d 2.654, rel. 27
- 41.97 deg, d 2.152, rel. 27
- 44.85 deg, d 2.021, rel. 44
- 53.83 deg, d 1.703, rel. 19
- 57.24 deg, d 1.610, rel. 16

Entry 9:
Tb4NiI5: computed powder XRD pattern (λ = 1.5418 Å (Cu Kα)), based on a DFT-relaxed cell (GGA-PBE, Alexandria).

Crystal structure
abc: 9.917 9.917 8.895
angles: 102.31 102.31 23.80
Sites, in units of the cell vectors:
Tb 0.000 0.000 0.200
Tb 0.000 0.000 0.800
Tb 0.359 0.359 0.927
Tb 0.641 0.641 0.073
Ni 0.500 0.500 0.000
I 0.167 0.167 0.345
I 0.177 0.177 0.828
I 0.500 0.500 0.500
I 0.823 0.823 0.172
I 0.833 0.833 0.655

Principal peaks in the range 2θ from 5° to 70°, sorted by position:
- 9.34 deg, d 9.470, rel. 12
- 10.19 deg, d 8.681, rel. 33
- 26.77 deg, d 3.330, rel. 13
- 28.27 deg, d 3.157, rel. 49
- 29.09 deg, d 3.070, rel. 14
- 29.68 deg, d 3.010, rel. 100
- 32.21 deg, d 2.779, rel. 24
- 40.57 deg, d 2.223, rel. 16
- 41.28 deg, d 2.187, rel. 32
- 41.62 deg, d 2.170, rel. 30
- 44.30 deg, d 2.045, rel. 18
- 53.39 deg, d 1.716, rel. 16

Entry 10:
NiTe2I: computed powder XRD pattern (λ = 1.5418 Å (Cu Kα)), based on a DFT-relaxed cell (GGA-PBE, Alexandria).

Crystal structure
abc: 3.947 3.947 8.087
angles: 103.45 103.45 59.97
Sites, in units of the cell vectors:
Ni 0.000 0.000 0.000
Te 0.283 0.284 0.840
Te 0.716 0.717 0.160
I 0.499 0.501 0.500

Principal peaks in the range 2θ from 5° to 70°, sorted by position:
- 11.36 deg, d 7.790, rel. 19
- 26.35 deg, d 3.382, rel. 18
- 30.21 deg, d 2.958, rel. 100
- 30.48 deg, d 2.933, rel. 52
- 32.23 deg, d 2.777, rel. 22
- 32.57 deg, d 2.749, rel. 40
- 34.54 deg, d 2.597, rel. 24
- 40.78 deg, d 2.213, rel. 15
- 46.00 deg, d 1.973, rel. 65
- 46.95 deg, d 1.935, rel. 16
- 56.20 deg, d 1.637, rel. 18
- 62.05 deg, d 1.496, rel. 15

Entry 11:
Ni4Te8I: computed powder XRD pattern (λ = 1.5418 Å (Cu Kα)), based on a DFT-relaxed cell (GGA-PBE, Alexandria).

Crystal structure
abc: 8.688 8.688 11.714
angles: 123.57 123.57 26.01
Sites, in units of the cell vectors:
Ni 0.136 0.136 0.455
Ni 0.344 0.344 0.176
Ni 0.656 0.656 0.824
Ni 0.864 0.864 0.545
Te 0.037 0.037 0.769
Te 0.277 0.277 0.907
Te 0.318 0.318 0.649
Te 0.395 0.395 0.430
Te 0.605 0.605 0.570
Te 0.682 0.682 0.351
Te 0.723 0.723 0.093
Te 0.963 0.963 0.231
I 0.000 0.000 0.000

Principal peaks in the range 2θ from 5° to 70°, sorted by position:
- 26.71 deg, d 3.338, rel. 38
- 29.87 deg, d 2.992, rel. 100
- 31.64 deg, d 2.828, rel. 78
- 31.88 deg, d 2.807, rel. 78
- 32.28 deg, d 2.773, rel. 39
- 32.59 deg, d 2.747, rel. 89
- 40.04 deg, d 2.252, rel. 44
- 44.61 deg, d 2.031, rel. 45
- 46.45 deg, d 1.955, rel. 44
- 47.81 deg, d 1.902, rel. 58
- 57.31 deg, d 1.608, rel. 36
- 57.45 deg, d 1.604, rel. 39

Entry 12:
Th2NiI2: computed powder XRD pattern (λ = 1.5418 Å (Cu Kα)), based on a DFT-relaxed cell (GGA-PBE, Alexandria).

Crystal structure
abc: 11.885 11.885 11.885
angles: 20.24 20.24 20.24
Sites, in units of the cell vectors:
Th 0.124 0.124 0.124
Th 0.876 0.876 0.876
Ni 0.500 0.500 0.500
I 0.275 0.275 0.275
I 0.725 0.725 0.725

Principal peaks in the range 2θ from 5° to 70°, sorted by position:
- 7.60 deg, d 11.638, rel. 100
- 24.75 deg, d 3.597, rel. 15
- 27.78 deg, d 3.211, rel. 80
- 30.53 deg, d 2.928, rel. 42
- 30.73 deg, d 2.910, rel. 13
- 32.14 deg, d 2.785, rel. 60
- 41.90 deg, d 2.156, rel. 32
- 43.33 deg, d 2.088, rel. 44
- 52.26 deg, d 1.751, rel. 14
- 54.06 deg, d 1.696, rel. 17
- 54.97 deg, d 1.671, rel. 13
- 58.73 deg, d 1.572, rel. 13